(1)
Theoretical powder diffractogram
Compound: Pm2Ir3
Radiation: Cu Ka
Structure: a crystal structure in Alexandria, relaxed with PBE

Structure:
Cell: 4.542 5.413 8.615 Å, 90.00 90.00 90.00°
Fractional coordinates of all 10 atoms:
1 Pm 0.000 0.000 0.201
2 Pm 0.000 0.000 0.799
3 Pm 0.500 0.500 0.299
4 Pm 0.500 0.500 0.701
5 Ir 0.000 0.260 0.500
6 Ir 0.000 0.500 0.000
7 Ir 0.000 0.740 0.500
8 Ir 0.500 0.000 0.500
9 Ir 0.500 0.240 0.000
10 Ir 0.500 0.760 0.000

Most intense lines, 2θ = 10–90°, sorted by position:
| 2theta | d (Å) | intensity |
| --- | --- | --- |
| 20.6 | 4.307 | 337 |
| 33.1 | 2.707 | 816 |
| 35.4 | 2.537 | 267 |
| 37.0 | 2.427 | 264 |
| 39.3 | 2.292 | 224 |
| 39.7 | 2.271 | 448 |
| 40.2 | 2.245 | 1000 |
| 41.9 | 2.154 | 227 |
| 59.1 | 1.563 | 265 |
| 67.7 | 1.384 | 374 |

=====

(2)
Theoretical powder diffractogram
Compound: Pm2Ir7
Radiation: Cu Ka
Structure: a crystal structure in Alexandria, relaxed with PBE

Structure:
Cell: 13.536 13.536 13.536 Å, 22.81 22.81 22.81°
Fractional coordinates of all 18 atoms:
1 Pm 0.050 0.050 0.050
2 Pm 0.147 0.147 0.147
3 Pm 0.853 0.853 0.853
4 Pm 0.950 0.950 0.950
5 Ir 0.000 0.500 0.500
6 Ir 0.110 0.609 0.609
7 Ir 0.278 0.278 0.278
8 Ir 0.389 0.389 0.389
9 Ir 0.391 0.391 0.890
10 Ir 0.391 0.890 0.391
11 Ir 0.500 0.000 0.500
12 Ir 0.500 0.500 0.000
13 Ir 0.500 0.500 0.500
14 Ir 0.609 0.110 0.609
15 Ir 0.609 0.609 0.110
16 Ir 0.611 0.611 0.611
17 Ir 0.722 0.722 0.722
18 Ir 0.890 0.391 0.391

Most intense lines, 2θ = 10–90°, sorted by position:
| 2theta | d (Å) | intensity |
| --- | --- | --- |
| 19.3 | 4.604 | 260 |
| 33.5 | 2.676 | 196 |
| 38.9 | 2.314 | 256 |
| 39.4 | 2.286 | 1000 |
| 41.1 | 2.196 | 292 |
| 43.1 | 2.099 | 344 |
| 45.4 | 2.000 | 195 |
| 63.9 | 1.458 | 246 |
| 70.3 | 1.338 | 261 |
| 84.8 | 1.143 | 227 |

=====

(3)
Theoretical powder diffractogram
Compound: Pm4Ir
Radiation: Cu Ka
Structure: a crystal structure in Alexandria, relaxed with PBE

Structure:
Cell: 7.488 7.488 7.488 Å, 108.16 108.16 112.12°
Fractional coordinates of all 10 atoms:
1 Pm 0.029 0.831 0.197
2 Pm 0.116 0.419 0.698
3 Pm 0.168 0.971 0.802
4 Pm 0.169 0.366 0.198
5 Pm 0.581 0.279 0.697
6 Pm 0.582 0.884 0.303
7 Pm 0.634 0.832 0.803
8 Pm 0.721 0.418 0.302
9 Ir 0.250 0.750 0.500
10 Ir 0.500 0.500 0.000

Most intense lines, 2θ = 10–90°, sorted by position:
| 2theta | d (Å) | intensity |
| --- | --- | --- |
| 14.6 | 6.057 | 369 |
| 20.2 | 4.393 | 390 |
| 29.5 | 3.029 | 1000 |
| 32.4 | 2.764 | 781 |
| 33.7 | 2.657 | 591 |
| 38.5 | 2.339 | 462 |
| 38.9 | 2.314 | 335 |
| 41.1 | 2.197 | 310 |
| 49.1 | 1.856 | 239 |
| 53.3 | 1.720 | 294 |

=====

(4)
Theoretical powder diffractogram
Compound: Pm3Ir2
Radiation: Cu Ka
Structure: a crystal structure in Alexandria, relaxed with PBE

Structure:
Cell: 7.739 4.192 15.894 Å, 90.00 90.00 90.00°
Fractional coordinates of all 20 atoms:
1 Pm 0.023 0.250 0.106
2 Pm 0.134 0.750 0.436
3 Pm 0.159 0.250 0.721
4 Pm 0.341 0.750 0.221
5 Pm 0.366 0.250 0.936
6 Pm 0.477 0.750 0.606
7 Pm 0.523 0.250 0.394
8 Pm 0.634 0.750 0.064
9 Pm 0.659 0.250 0.779
10 Pm 0.841 0.750 0.279
11 Pm 0.866 0.250 0.564
12 Pm 0.977 0.750 0.894
13 Ir 0.140 0.250 0.298
14 Ir 0.239 0.750 0.042
15 Ir 0.261 0.250 0.542
16 Ir 0.360 0.750 0.798
17 Ir 0.640 0.250 0.202
18 Ir 0.739 0.750 0.458
19 Ir 0.761 0.250 0.958
20 Ir 0.860 0.750 0.702

Most intense lines, 2θ = 10–90°, sorted by position:
| 2theta | d (Å) | intensity |
| --- | --- | --- |
| 26.7 | 3.344 | 319 |
| 30.4 | 2.940 | 336 |
| 33.2 | 2.702 | 308 |
| 33.5 | 2.677 | 1000 |
| 35.4 | 2.533 | 504 |
| 35.8 | 2.505 | 347 |
| 37.4 | 2.407 | 606 |
| 41.5 | 2.177 | 391 |
| 43.2 | 2.096 | 544 |
| 53.7 | 1.706 | 267 |

=====

(5)
Theoretical powder diffractogram
Compound: Pm4PrIr2
Radiation: Cu Ka
Structure: a crystal structure in Alexandria, relaxed with PBE

Structure:
Cell: 8.017 6.655 8.060 Å, 90.00 113.15 90.00°
Fractional coordinates of all 14 atoms:
1 Pm 0.013 0.250 0.378
2 Pm 0.253 0.750 0.338
3 Pm 0.413 0.005 0.761
4 Pm 0.413 0.495 0.761
5 Pm 0.587 0.505 0.239
6 Pm 0.587 0.995 0.239
7 Pm 0.747 0.250 0.662
8 Pm 0.987 0.750 0.622
9 Pr 0.152 0.250 0.024
10 Pr 0.848 0.750 0.976
11 Ir 0.260 0.750 0.990
12 Ir 0.370 0.250 0.405
13 Ir 0.630 0.750 0.595
14 Ir 0.740 0.250 0.010

Most intense lines, 2θ = 10–90°, sorted by position:
| 2theta | d (Å) | intensity |
| --- | --- | --- |
| 26.8 | 3.328 | 428 |
| 29.8 | 2.996 | 371 |
| 30.0 | 2.981 | 499 |
| 31.0 | 2.884 | 539 |
| 33.6 | 2.665 | 490 |
| 33.9 | 2.643 | 412 |
| 34.9 | 2.572 | 352 |
| 35.1 | 2.554 | 549 |
| 36.3 | 2.473 | 1000 |
| 45.8 | 1.983 | 368 |

=====

(6)
Theoretical powder diffractogram
Compound: PmPr4Ir2
Radiation: Cu Ka
Structure: a crystal structure in Alexandria, relaxed with PBE

Structure:
Cell: 8.054 6.682 8.208 Å, 90.00 113.46 90.00°
Fractional coordinates of all 14 atoms:
1 Pm 0.150 0.250 0.030
2 Pm 0.850 0.750 0.970
3 Pr 0.013 0.250 0.378
4 Pr 0.250 0.750 0.339
5 Pr 0.415 0.005 0.765
6 Pr 0.415 0.495 0.765
7 Pr 0.585 0.505 0.235
8 Pr 0.585 0.995 0.235
9 Pr 0.750 0.250 0.661
10 Pr 0.987 0.750 0.622
11 Ir 0.245 0.750 0.990
12 Ir 0.369 0.250 0.401
13 Ir 0.631 0.750 0.599
14 Ir 0.755 0.250 0.010

Most intense lines, 2θ = 10–90°, sorted by position:
| 2theta | d (Å) | intensity |
| --- | --- | --- |
| 26.7 | 3.341 | 795 |
| 29.8 | 2.998 | 1000 |
| 30.6 | 2.917 | 659 |
| 33.5 | 2.676 | 913 |
| 33.8 | 2.654 | 622 |
| 34.3 | 2.616 | 625 |
| 35.0 | 2.566 | 944 |
| 35.9 | 2.499 | 978 |
| 37.3 | 2.411 | 672 |
| 45.2 | 2.007 | 703 |

=====

Repeat the third record exactly.
Theoretical powder diffractogram
Compound: Pm4Ir
Radiation: Cu Ka
Structure: a crystal structure in Alexandria, relaxed with PBE

Structure:
Cell: 7.488 7.488 7.488 Å, 108.16 108.16 112.12°
Fractional coordinates of all 10 atoms:
1 Pm 0.029 0.831 0.197
2 Pm 0.116 0.419 0.698
3 Pm 0.168 0.971 0.802
4 Pm 0.169 0.366 0.198
5 Pm 0.581 0.279 0.697
6 Pm 0.582 0.884 0.303
7 Pm 0.634 0.832 0.803
8 Pm 0.721 0.418 0.302
9 Ir 0.250 0.750 0.500
10 Ir 0.500 0.500 0.000

Most intense lines, 2θ = 10–90°, sorted by position:
| 2theta | d (Å) | intensity |
| --- | --- | --- |
| 14.6 | 6.057 | 369 |
| 20.2 | 4.393 | 390 |
| 29.5 | 3.029 | 1000 |
| 32.4 | 2.764 | 781 |
| 33.7 | 2.657 | 591 |
| 38.5 | 2.339 | 462 |
| 38.9 | 2.314 | 335 |
| 41.1 | 2.197 | 310 |
| 49.1 | 1.856 | 239 |
| 53.3 | 1.720 | 294 |